# Sr3Cu3P4O16
Calculated powder X-ray diffraction pattern, Cu Ka. Input: a cell relaxed with GGA-PBE.
Peak positions follow from Bragg's law for the DFT cell and can differ from measured ones.

Structural model:
a b c (Å): 9.3567 5.0175 17.4443
angles (deg): 90.00 119.55 90.00
Fractional positions:
Sr1 0.0000 0.0000 0.0000
Sr2 0.0000 0.5000 0.5000
Sr3 0.3059 0.0348 0.2639
Sr4 0.3059 0.4652 0.7639
Sr5 0.6941 0.5348 0.2361
Sr6 0.6941 0.9652 0.7361
Cu1 0.2061 0.5364 0.3790
Cu2 0.2061 0.9636 0.8790
Cu3 0.5000 0.0000 0.5000
Cu4 0.5000 0.5000 0.0000
Cu5 0.7939 0.0364 0.1210
Cu6 0.7939 0.4636 0.6210
P1 0.0331 0.5206 0.1631
P2 0.0331 0.9794 0.6631
P3 0.4387 0.5099 0.5877
P4 0.4387 0.9901 0.0877
P5 0.5613 0.0099 0.9123
P6 0.5613 0.4901 0.4123
P7 0.9669 0.0206 0.3369
P8 0.9669 0.4794 0.8369
O1 0.0228 0.6755 0.6434
O2 0.0228 0.8245 0.1434
O3 0.0928 0.1362 0.6090
O4 0.0928 0.3638 0.1090
O5 0.1362 0.5759 0.8506
O6 0.1362 0.9241 0.3506
O7 0.1736 0.0205 0.7618
O8 0.1736 0.4795 0.2618
O9 0.2697 0.5603 0.5047
O10 0.2697 0.9397 0.0047
O11 0.4279 0.1917 0.9185
O12 0.4279 0.3083 0.4185
O13 0.4348 0.5854 0.6716
O14 0.4348 0.9146 0.1716
O15 0.4960 0.2141 0.5938
O16 0.4960 0.2859 0.0938
O17 0.5040 0.7141 0.9062
O18 0.5040 0.7859 0.4062
O19 0.5652 0.0854 0.8284
O20 0.5652 0.4146 0.3284
O21 0.5721 0.6917 0.5815
O22 0.5721 0.8083 0.0815
O23 0.7303 0.0603 0.9953
O24 0.7303 0.4397 0.4953
O25 0.8264 0.5205 0.7382
O26 0.8264 0.9795 0.2382
O27 0.8638 0.0759 0.6494
O28 0.8638 0.4241 0.1494
O29 0.9072 0.6362 0.8910
O30 0.9072 0.8638 0.3910
O31 0.9772 0.1755 0.8566
O32 0.9772 0.3245 0.3566

The 12 most intense peaks (10° ≤ 2θ ≤ 90°), in order of rising 2θ:
| Position (°2θ) | I/Imax |
| --- | --- |
| 11.4 | 677 |
| 18.6 | 445 |
| 19.0 | 382 |
| 26.5 | 711 |
| 29.6 | 500 |
| 30.7 | 1000 |
| 31.1 | 527 |
| 31.4 | 896 |
| 33.9 | 956 |
| 35.8 | 603 |
| 48.1 | 302 |
| 63.1 | 337 |

# KPrEuSbO6
Calculated powder X-ray diffraction pattern, Cu Ka. Input: a cell relaxed with GGA-PBE.
Peak positions follow from Bragg's law for the DFT cell and can differ from measured ones.

Structural model:
a b c (Å): 8.4541 8.4576 8.6905
angles (deg): 90.00 90.00 90.00
Fractional positions:
K1 0.2500 0.2500 0.2500
K2 0.2500 0.7500 0.7500
K3 0.7500 0.2500 0.2500
K4 0.7500 0.7500 0.7500
Pr1 0.0000 0.0000 0.0000
Pr2 0.0000 0.5000 0.5000
Pr3 0.5000 0.0000 0.5000
Pr4 0.5000 0.5000 0.0000
Eu1 0.2500 0.2500 0.7500
Eu2 0.2500 0.7500 0.2500
Eu3 0.7500 0.2500 0.7500
Eu4 0.7500 0.7500 0.2500
Sb1 0.0000 0.0000 0.5000
Sb2 0.0000 0.5000 0.0000
Sb3 0.5000 0.0000 0.0000
Sb4 0.5000 0.5000 0.5000
O1 0.0416 0.0579 0.7334
O2 0.0416 0.4421 0.7666
O3 0.0448 0.7287 0.9722
O4 0.0448 0.7713 0.5278
O5 0.2294 0.0338 0.4569
O6 0.2294 0.4662 0.0431
O7 0.2706 0.0338 0.0431
O8 0.2706 0.4662 0.4569
O9 0.4552 0.7287 0.5278
O10 0.4552 0.7713 0.9722
O11 0.4584 0.0579 0.7666
O12 0.4584 0.4421 0.7334
O13 0.5416 0.5579 0.2666
O14 0.5416 0.9421 0.2334
O15 0.5448 0.2287 0.0278
O16 0.5448 0.2713 0.4722
O17 0.7294 0.5338 0.5431
O18 0.7294 0.9662 0.9569
O19 0.7706 0.5338 0.9569
O20 0.7706 0.9662 0.5431
O21 0.9552 0.2287 0.4722
O22 0.9552 0.2713 0.0278
O23 0.9584 0.5579 0.2334
O24 0.9584 0.9421 0.2666

The 12 most intense peaks (10° ≤ 2θ ≤ 90°), in order of rising 2θ:
| Position (°2θ) | I/Imax |
| --- | --- |
| 14.6 | 183 |
| 29.5 | 1000 |
| 29.9 | 468 |
| 41.6 | 148 |
| 42.8 | 257 |
| 52.0 | 217 |
| 52.8 | 438 |
| 61.2 | 159 |
| 68.5 | 92 |
| 84.2 | 113 |
| 85.2 | 105 |
| 85.8 | 108 |

# Tb2IrRu
Calculated powder X-ray diffraction pattern, Cu Ka. Input: a cell relaxed with GGA-PBE.
Peak positions follow from Bragg's law for the DFT cell and can differ from measured ones.

Structural model:
a b c (Å): 6.8605 6.8605 6.8605
angles (deg): 90.00 90.00 90.00
Fractional positions:
Tb1 0.2500 0.2500 0.2500
Tb2 0.2500 0.2500 0.7500
Tb3 0.2500 0.7500 0.2500
Tb4 0.2500 0.7500 0.7500
Tb5 0.7500 0.2500 0.2500
Tb6 0.7500 0.2500 0.7500
Tb7 0.7500 0.7500 0.2500
Tb8 0.7500 0.7500 0.7500
Ir1 0.0000 0.0000 0.0000
Ir2 0.0000 0.5000 0.5000
Ir3 0.5000 0.0000 0.5000
Ir4 0.5000 0.5000 0.0000
Ru1 0.0000 0.0000 0.5000
Ru2 0.0000 0.5000 0.0000
Ru3 0.5000 0.0000 0.0000
Ru4 0.5000 0.5000 0.5000

The 9 most intense peaks (10° ≤ 2θ ≤ 90°), in order of rising 2θ:
| Position (°2θ) | I/Imax |
| --- | --- |
| 22.4 | 45 |
| 37.1 | 1000 |
| 43.8 | 26 |
| 53.4 | 175 |
| 58.7 | 11 |
| 66.8 | 357 |
| 71.5 | 9 |
| 78.9 | 112 |
| 83.3 | 9 |

# Tb2Si3Ge
Calculated powder X-ray diffraction pattern, Cu Ka. Input: a cell relaxed with GGA-PBE.
Peak positions follow from Bragg's law for the DFT cell and can differ from measured ones.

Structural model:
a b c (Å): 3.9683 4.0015 15.2513
angles (deg): 90.00 90.00 90.00
Fractional positions:
Tb1 0.0000 0.0000 0.0000
Tb2 0.0000 0.5000 0.2413
Tb3 0.5000 0.0000 0.7413
Tb4 0.5000 0.5000 0.5000
Si1 0.0000 0.0000 0.4218
Si2 0.0000 0.0000 0.5793
Si3 0.0000 0.5000 0.6602
Si4 0.5000 0.0000 0.1602
Si5 0.5000 0.5000 0.0793
Si6 0.5000 0.5000 0.9218
Ge1 0.0000 0.5000 0.8276
Ge2 0.5000 0.0000 0.3276

The 12 most intense peaks (10° ≤ 2θ ≤ 90°), in order of rising 2θ:
| Position (°2θ) | I/Imax |
| --- | --- |
| 23.2 | 177 |
| 23.3 | 233 |
| 28.4 | 362 |
| 28.5 | 143 |
| 33.9 | 1000 |
| 37.1 | 171 |
| 37.2 | 333 |
| 45.3 | 156 |
| 45.7 | 152 |
| 47.6 | 252 |
| 54.7 | 117 |
| 60.0 | 164 |

# Cs4P2PdSe8
Calculated powder X-ray diffraction pattern, Cu Ka. Input: a cell relaxed with GGA-PBE.
Peak positions follow from Bragg's law for the DFT cell and can differ from measured ones.

Structural model:
a b c (Å): 7.7296 13.8843 10.3219
angles (deg): 90.00 93.46 90.00
Fractional positions:
Cs1 0.1772 0.1307 0.1776
Cs2 0.1772 0.3693 0.6776
Cs3 0.2722 0.6544 0.9632
Cs4 0.2722 0.8456 0.4632
Cs5 0.7278 0.1544 0.5368
Cs6 0.7278 0.3456 0.0368
Cs7 0.8228 0.6307 0.3224
Cs8 0.8228 0.8693 0.8224
P1 0.2378 0.0799 0.7587
P2 0.2378 0.4201 0.2587
P3 0.7622 0.5799 0.7413
P4 0.7622 0.9201 0.2413
Pd1 0.5000 0.0000 0.0000
Pd2 0.5000 0.5000 0.5000
Se1 0.0058 0.6258 0.6624
Se2 0.0058 0.8742 0.1624
Se3 0.2372 0.1056 0.5494
Se4 0.2372 0.3944 0.0494
Se5 0.3134 0.5723 0.3237
Se6 0.3134 0.9277 0.8237
Se7 0.4723 0.1465 0.8625
Se8 0.4723 0.3535 0.3625
Se9 0.5277 0.6465 0.6375
Se10 0.5277 0.8535 0.1375
Se11 0.6866 0.0723 0.1763
Se12 0.6866 0.4277 0.6763
Se13 0.7628 0.6056 0.9506
Se14 0.7628 0.8944 0.4506
Se15 0.9942 0.1258 0.8376
Se16 0.9942 0.3742 0.3376

The 12 most intense peaks (10° ≤ 2θ ≤ 90°), in order of rising 2θ:
| Position (°2θ) | I/Imax |
| --- | --- |
| 21.1 | 420 |
| 23.8 | 395 |
| 25.0 | 1000 |
| 25.7 | 880 |
| 26.7 | 794 |
| 28.8 | 363 |
| 29.7 | 608 |
| 30.5 | 471 |
| 31.0 | 397 |
| 32.5 | 803 |
| 39.7 | 379 |
| 53.3 | 388 |

# Hf6CCl14
Calculated powder X-ray diffraction pattern, Cu Ka. Input: a cell relaxed with GGA-PBE.
Peak positions follow from Bragg's law for the DFT cell and can differ from measured ones.

Structural model:
a b c (Å): 9.5461 9.5461 11.5428
angles (deg): 90.00 90.00 84.74
Fractional positions:
Hf1 0.0467 0.1825 0.8837
Hf2 0.1431 0.8569 0.8965
Hf3 0.1825 0.0467 0.1163
Hf4 0.3175 0.4533 0.6163
Hf5 0.3569 0.6431 0.3965
Hf6 0.4533 0.3175 0.3837
Hf7 0.5467 0.6825 0.6163
Hf8 0.6431 0.3569 0.6035
Hf9 0.6825 0.5467 0.3837
Hf10 0.8175 0.9533 0.8837
Hf11 0.8569 0.1431 0.1035
Hf12 0.9533 0.8175 0.1163
C1 0.0000 0.0000 0.0000
C2 0.5000 0.5000 0.5000
Cl1 0.0347 0.2128 0.2456
Cl2 0.1026 0.3974 0.7500
Cl3 0.1150 0.6382 0.0101
Cl4 0.1382 0.6150 0.5101
Cl5 0.1529 0.8471 0.2627
Cl6 0.2128 0.0347 0.7544
Cl7 0.2500 0.2500 0.0000
Cl8 0.2500 0.2500 0.5000
Cl9 0.2872 0.4653 0.2544
Cl10 0.3471 0.6529 0.7627
Cl11 0.3618 0.8850 0.0101
Cl12 0.3850 0.8618 0.5101
Cl13 0.3974 0.1026 0.2500
Cl14 0.4653 0.2872 0.7456
Cl15 0.5347 0.7128 0.2544
Cl16 0.6026 0.8974 0.7500
Cl17 0.6150 0.1382 0.4899
Cl18 0.6382 0.1150 0.9899
Cl19 0.6529 0.3471 0.2373
Cl20 0.7128 0.5347 0.7456
Cl21 0.7500 0.7500 0.0000
Cl22 0.7500 0.7500 0.5000
Cl23 0.7872 0.9653 0.2456
Cl24 0.8471 0.1529 0.7373
Cl25 0.8618 0.3850 0.4899
Cl26 0.8850 0.3618 0.9899
Cl27 0.8974 0.6026 0.2500
Cl28 0.9653 0.7872 0.7544

The 12 most intense peaks (10° ≤ 2θ ≤ 90°), in order of rising 2θ:
| Position (°2θ) | I/Imax |
| --- | --- |
| 12.1 | 1000 |
| 12.6 | 109 |
| 25.0 | 71 |
| 25.4 | 118 |
| 32.2 | 82 |
| 36.1 | 71 |
| 36.4 | 107 |
| 37.3 | 226 |
| 38.8 | 125 |
| 40.2 | 83 |
| 41.4 | 88 |
| 49.8 | 73 |

# TmCu3Te3
Calculated powder X-ray diffraction pattern, Cu Ka. Input: a cell relaxed with GGA-PBE.
Peak positions follow from Bragg's law for the DFT cell and can differ from measured ones.

Structural model:
a b c (Å): 12.8331 7.6161 6.9320
angles (deg): 90.00 90.00 90.00
Fractional positions:
Tm1 0.1615 0.2498 0.0000
Tm2 0.3385 0.7502 0.5000
Tm3 0.6615 0.7502 0.5000
Tm4 0.8385 0.2498 0.0000
Cu1 0.0000 0.1210 0.3730
Cu2 0.0000 0.3780 0.6275
Cu3 0.1739 0.6175 0.1228
Cu4 0.1742 0.8819 0.8772
Cu5 0.3258 0.1181 0.3772
Cu6 0.3261 0.3825 0.6228
Cu7 0.5000 0.6220 0.1275
Cu8 0.5000 0.8790 0.8730
Cu9 0.6742 0.1181 0.3772
Cu10 0.6739 0.3825 0.6228
Cu11 0.8261 0.6175 0.1228
Cu12 0.8258 0.8819 0.8772
Te1 0.0000 0.0515 0.7535
Te2 0.0000 0.4477 0.2469
Te3 0.1632 0.5661 0.7349
Te4 0.1633 0.9336 0.2649
Te5 0.3367 0.0664 0.7649
Te6 0.3368 0.4339 0.2349
Te7 0.5000 0.5523 0.7469
Te8 0.5000 0.9485 0.2535
Te9 0.6633 0.0664 0.7649
Te10 0.6632 0.4339 0.2349
Te11 0.8368 0.5661 0.7349
Te12 0.8367 0.9336 0.2649

The 12 most intense peaks (10° ≤ 2θ ≤ 90°), in order of rising 2θ:
| Position (°2θ) | I/Imax |
| --- | --- |
| 24.5 | 755 |
| 27.2 | 836 |
| 28.3 | 254 |
| 35.0 | 662 |
| 35.4 | 645 |
| 41.1 | 272 |
| 41.4 | 1000 |
| 42.3 | 575 |
| 45.9 | 284 |
| 46.2 | 637 |
| 56.0 | 335 |
| 71.1 | 235 |

# Mg14SiBiO16
Calculated powder X-ray diffraction pattern, Cu Ka. Input: a cell relaxed with GGA-PBE.
Peak positions follow from Bragg's law for the DFT cell and can differ from measured ones.

Structural model:
a b c (Å): 8.7602 8.7602 4.4470
angles (deg): 90.00 90.00 90.00
Fractional positions:
Mg1 0.0000 0.2511 0.0000
Mg2 0.0000 0.5000 0.5000
Mg3 0.0000 0.7489 0.0000
Mg4 0.2376 0.5000 0.0000
Mg5 0.2441 0.2441 0.5000
Mg6 0.2441 0.7559 0.5000
Mg7 0.2511 0.0000 0.0000
Mg8 0.5000 0.0000 0.5000
Mg9 0.5000 0.2376 0.0000
Mg10 0.5000 0.7624 0.0000
Mg11 0.7489 0.0000 0.0000
Mg12 0.7559 0.2441 0.5000
Mg13 0.7559 0.7559 0.5000
Mg14 0.7624 0.5000 0.0000
Si1 0.0000 0.0000 0.5000
Bi1 0.5000 0.5000 0.5000
O1 0.0000 0.0000 0.0000
O2 0.0000 0.2582 0.5000
O3 0.0000 0.5000 0.0000
O4 0.0000 0.7418 0.5000
O5 0.2280 0.5000 0.5000
O6 0.2492 0.2492 0.0000
O7 0.2492 0.7508 0.0000
O8 0.2582 0.0000 0.5000
O9 0.5000 0.0000 0.0000
O10 0.5000 0.2280 0.5000
O11 0.5000 0.5000 0.0000
O12 0.5000 0.7720 0.5000
O13 0.7418 0.0000 0.5000
O14 0.7508 0.2492 0.0000
O15 0.7508 0.7508 0.0000
O16 0.7720 0.5000 0.5000

The 12 most intense peaks (10° ≤ 2θ ≤ 90°), in order of rising 2θ:
| Position (°2θ) | I/Imax |
| --- | --- |
| 10.1 | 1000 |
| 14.3 | 466 |
| 20.3 | 293 |
| 22.4 | 399 |
| 22.7 | 398 |
| 24.6 | 342 |
| 30.4 | 422 |
| 35.3 | 473 |
| 40.6 | 530 |
| 41.2 | 988 |
| 59.2 | 607 |
| 59.7 | 289 |

# K2NaTaBr6
Calculated powder X-ray diffraction pattern, Cu Ka. Input: a cell relaxed with GGA-PBE.
Peak positions follow from Bragg's law for the DFT cell and can differ from measured ones.

Structural model:
a b c (Å): 7.7991 7.7991 7.7991
angles (deg): 60.00 60.00 60.00
Fractional positions:
K1 0.2500 0.2500 0.2500
K2 0.7500 0.7500 0.7500
Na1 0.0000 0.0000 0.0000
Ta1 0.5000 0.5000 0.5000
Br1 0.2617 0.2617 0.7383
Br2 0.2617 0.7383 0.2617
Br3 0.2617 0.7383 0.7383
Br4 0.7383 0.2617 0.2617
Br5 0.7383 0.2617 0.7383
Br6 0.7383 0.7383 0.2617

The 12 most intense peaks (10° ≤ 2θ ≤ 90°), in order of rising 2θ:
| Position (°2θ) | I/Imax |
| --- | --- |
| 13.9 | 605 |
| 16.1 | 754 |
| 26.8 | 219 |
| 28.0 | 455 |
| 32.5 | 1000 |
| 36.4 | 389 |
| 42.6 | 181 |
| 46.6 | 697 |
| 49.6 | 204 |
| 57.9 | 234 |
| 77.4 | 288 |
| 86.4 | 217 |